No. 1
This entry pairs a crystal structure of Li4TiCo3O8 with its computed powder diffractogram. Radiation: copper Kα. Structure: a GGA+U-relaxed structure.

Cell and atoms:
```
data_Li4TiCo3O8
_cell_length_a 5.100
_cell_length_b 5.563
_cell_length_c 6.461
_cell_angle_alpha 89.78
_cell_angle_beta 89.57
_cell_angle_gamma 89.63
_space_group_name_H-M_alt 'P 1'
_space_group_IT_number 1
_space_group_name_Hall 'P 1'
loop_
_atom_site_label
_atom_site_fract_x
_atom_site_fract_y
_atom_site_fract_z
Li1 0.000 0.000 0.000
Li2 0.001 0.495 0.745
Li3 0.503 0.157 0.250
Li4 0.505 0.666 0.499
Ti1 0.499 0.659 0.001
Co1 0.009 0.490 0.263
Co2 0.501 0.160 0.746
Co3 0.988 0.005 0.507
O1 0.105 0.172 0.256
O2 0.107 0.673 0.484
O3 0.116 0.153 0.736
O4 0.135 0.651 0.012
O5 0.605 0.503 0.765
O6 0.605 0.973 0.995
O7 0.629 0.505 0.233
O8 0.630 0.000 0.496
```

Principal peaks in the range 10° ≤ 2θ ≤ 90°, by angle:
d [Å]	Rel. int.	(hkl)
4.216	100	0 1 1
4.018	63	1 0 1
3.988	53	1 0 -1
2.785	71	0 1 -2
2.550	59	2 0 0
2.443	33	-1 1 2

---

No. 2
This entry pairs a crystal structure of K2Li3CrO4 with its computed powder diffractogram. Radiation: copper Kα. Structure: a GGA+U-relaxed structure.

Cell and atoms:
```
data_K2Li3CrO4
_cell_length_a 5.585
_cell_length_b 8.976
_cell_length_c 11.062
_cell_angle_alpha 90.00
_cell_angle_beta 109.78
_cell_angle_gamma 90.00
_space_group_name_H-M_alt 'P 1 21/c 1'
_space_group_IT_number 14
_space_group_name_Hall '-P 2ybc'
loop_
_atom_site_label
_atom_site_fract_x
_atom_site_fract_y
_atom_site_fract_z
K1 0.205 0.007 0.362
K2 0.216 0.227 0.608
Li1 0.117 0.734 0.699
Li2 0.122 0.003 0.928
Li3 0.397 0.537 0.294
Cr1 0.406 0.709 0.563
O1 0.245 0.162 0.848
O2 0.251 0.698 0.377
O3 0.253 0.544 0.624
O4 0.271 0.610 0.107
```

Principal peaks in the range 10° ≤ 2θ ≤ 90°, by angle:
d [Å]	Rel. int.	(hkl)
4.491	24	0 2 0
4.056	45	1 1 -2
2.628	100	2 0 0
2.606	67	1 2 2
2.602	46	0 0 4
2.025	33	2 3 -2

---

No. 3
This entry pairs a crystal structure of Na2Co3O4 with its computed powder diffractogram. Radiation: copper Kα. Structure: a GGA+U-relaxed structure.

Cell and atoms:
```
data_Na2Co3O4
_cell_length_a 10.919
_cell_length_b 7.771
_cell_length_c 5.345
_cell_angle_alpha 90.00
_cell_angle_beta 90.00
_cell_angle_gamma 90.00
_space_group_name_H-M_alt 'P n m a'
_space_group_IT_number 62
_space_group_name_Hall '-P 2ac 2n'
loop_
_atom_site_label
_atom_site_fract_x
_atom_site_fract_y
_atom_site_fract_z
Na1 0.000 0.000 0.000
Na2 0.027 0.250 0.483
Co1 0.202 0.750 0.198
Co2 0.239 0.584 0.648
O1 0.134 0.528 0.356
O2 0.142 0.750 0.853
O3 0.153 0.250 0.923
```

Principal peaks in the range 10° ≤ 2θ ≤ 90°, by angle:
d [Å]	Rel. int.	(hkl)
5.459	100	2 0 0
2.379	27	3 2 1
2.331	21	0 3 1
2.280	21	1 3 1
2.154	26	3 0 2
2.144	37	2 3 1

---

No. 4
This entry pairs a crystal structure of Li2Cr2O9 with its computed powder diffractogram. Radiation: copper Kα. Structure: a GGA+U-relaxed structure.

Cell and atoms:
```
data_Li2Cr2O9
_cell_length_a 12.793
_cell_length_b 8.260
_cell_length_c 6.893
_cell_angle_alpha 90.00
_cell_angle_beta 93.34
_cell_angle_gamma 90.00
_space_group_name_H-M_alt 'C 1 2/c 1'
_space_group_IT_number 15
_space_group_name_Hall '-C 2yc'
loop_
_atom_site_label
_atom_site_fract_x
_atom_site_fract_y
_atom_site_fract_z
Li1 0.109 0.020 0.115
Cr1 0.097 0.299 0.634
O1 0.000 0.414 0.750
O2 0.046 0.176 0.463
O3 0.149 0.170 0.799
O4 0.150 0.247 0.106
O5 0.185 0.416 0.554
```

Principal peaks in the range 10° ≤ 2θ ≤ 90°, by angle:
d [Å]	Rel. int.	(hkl)
4.809	100	1 1 1
4.130	52	0 2 0
3.391	37	3 1 -1
3.058	25	2 2 1
2.958	25	2 0 2
2.482	29	2 2 -2

---

No. 5
This entry pairs a crystal structure of Li9Mn2Co5O16 with its computed powder diffractogram. Radiation: copper Kα. Structure: a GGA+U-relaxed structure.

Cell and atoms:
```
data_Li9Mn2Co5O16
_cell_length_a 3.018
_cell_length_b 9.908
_cell_length_c 10.023
_cell_angle_alpha 77.98
_cell_angle_beta 87.68
_cell_angle_gamma 87.34
_space_group_name_H-M_alt 'P -1'
_space_group_IT_number 2
_space_group_name_Hall '-P 1'
loop_
_atom_site_label
_atom_site_fract_x
_atom_site_fract_y
_atom_site_fract_z
Li1 0.000 0.000 0.000
Li2 0.001 0.249 0.626
Li3 0.008 0.754 0.871
Li4 0.498 0.243 0.877
Li5 0.498 0.252 0.371
Mn1 0.000 0.000 0.500
Mn2 0.500 0.500 0.000
Co1 0.001 0.498 0.748
Co2 0.490 0.999 0.240
Co3 0.500 0.500 0.500
O1 0.024 0.115 0.318
O2 0.032 0.115 0.808
O3 0.036 0.615 0.565
O4 0.038 0.619 0.069
O5 0.475 0.888 0.425
O6 0.484 0.612 0.320
O7 0.486 0.613 0.815
O8 0.499 0.886 0.917
```

Principal peaks in the range 10° ≤ 2θ ≤ 90°, by angle:
d [Å]	Rel. int.	(hkl)
4.842	100	0 2 0
2.610	21	1 1 2
2.185	34	1 3 2
2.068	28	-1 3 2
2.024	25	0 2 -4
1.485	15	1 5 -2

---

No. 6
This entry pairs a crystal structure of NaFe5O8 with its computed powder diffractogram. Radiation: copper Kα. Structure: a GGA+U-relaxed structure.

Cell and atoms:
```
data_NaFe5O8
_cell_length_a 8.622
_cell_length_b 8.622
_cell_length_c 8.622
_cell_angle_alpha 90.00
_cell_angle_beta 90.00
_cell_angle_gamma 90.00
_space_group_name_H-M_alt 'P 43 3 2'
_space_group_IT_number 212
_space_group_name_Hall 'P 4acd 2ab 3'
loop_
_atom_site_label
_atom_site_fract_x
_atom_site_fract_y
_atom_site_fract_z
Na1 0.125 0.125 0.125
Fe1 0.003 0.503 0.997
Fe2 0.122 0.375 0.372
O1 0.109 0.861 0.635
O2 0.114 0.386 0.614
```

Principal peaks in the range 10° ≤ 2θ ≤ 90°, by angle:
d [Å]	Rel. int.	(hkl)
3.048	33	2 2 0
2.600	100	3 1 1
2.155	18	4 0 0
1.659	33	5 1 1
1.524	45	4 4 0
1.122	16	5 5 3